Entry 1:
This entry pairs a crystal structure of Pm5Rh4 with its calculated X-ray powder pattern. Radiation: CuKα. Structure: a cell relaxed with GGA-PBE.
Neutral-atom scattering factors, no anomalous dispersion.

Top 10 peaks for 2θ from 10° to 80°, low angle first:
| 2θ/deg | I (rel.) |
| --- | --- |
| 31.40 | 1000 |
| 32.61 | 550 |
| 33.31 | 517 |
| 33.84 | 824 |
| 38.26 | 470 |
| 42.36 | 288 |
| 44.57 | 402 |
| 45.81 | 389 |
| 63.72 | 251 |
| 65.83 | 250 |

Cell and atoms:
a = 5.8455 Å, b = 5.8455 Å, c = 10.6886 Å
α = 106.91°, β = 106.91°, γ = 39.61°
Element x y z (fractional)
Pm: 0.0000 0.0000 0.0000
Pm: 0.1110 0.1110 0.3976
Pm: 0.2246 0.2246 0.8022
Pm: 0.7754 0.7754 0.1978
Pm: 0.8890 0.8890 0.6024
Rh: 0.3825 0.3825 0.3926
Rh: 0.4932 0.4932 0.1860
Rh: 0.5068 0.5068 0.8141
Rh: 0.6175 0.6175 0.6074

---

Entry 2:
This entry pairs a crystal structure of AcSiPdPt6 with its calculated X-ray powder pattern. Radiation: CuKα. Structure: a cell relaxed with GGA-PBE.
Neutral-atom scattering factors, no anomalous dispersion.

Top 10 peaks for 2θ from 10° to 80°, low angle first:
| 2θ/deg | I (rel.) |
| --- | --- |
| 28.01 | 205 |
| 30.99 | 364 |
| 32.10 | 1000 |
| 35.01 | 267 |
| 40.40 | 408 |
| 45.22 | 787 |
| 51.18 | 207 |
| 51.77 | 156 |
| 67.14 | 183 |
| 68.29 | 168 |

Cell and atoms:
a = 8.1241 Å, b = 8.1241 Å, c = 8.1241 Å
α = 127.87°, β = 113.31°, γ = 89.45°
Element x y z (fractional)
Ac: 0.4133 0.1633 0.2500
Ac: 0.5867 0.8367 0.7500
Si: 0.0000 0.5000 0.5000
Si: 0.5000 0.5000 0.0000
Pd: 0.0000 0.0000 0.5000
Pd: 0.0000 0.5000 0.0000
Pt: 0.1090 0.3645 0.2305
Pt: 0.1090 0.8784 0.7445
Pt: 0.1589 0.9089 0.2500
Pt: 0.3297 0.5797 0.7500
Pt: 0.3660 0.1216 0.7305
Pt: 0.3660 0.6355 0.2445
Pt: 0.6340 0.3645 0.7555
Pt: 0.6340 0.8784 0.2695
Pt: 0.6703 0.4203 0.2500
Pt: 0.8411 0.0911 0.7500
Pt: 0.8910 0.1216 0.2555
Pt: 0.8910 0.6355 0.7695

---

Entry 3:
This entry pairs a crystal structure of LiCuSb2Ir with its calculated X-ray powder pattern. Radiation: CuKα. Structure: a cell relaxed with GGA-PBE.
Neutral-atom scattering factors, no anomalous dispersion.

Top 10 peaks for 2θ from 10° to 80°, low angle first:
| 2θ/deg | I (rel.) |
| --- | --- |
| 17.97 | 958 |
| 31.82 | 1000 |
| 36.39 | 665 |
| 37.93 | 296 |
| 40.87 | 242 |
| 42.27 | 220 |
| 52.42 | 231 |
| 53.58 | 432 |
| 62.64 | 291 |
| 66.50 | 223 |

Cell and atoms:
a = 4.9373 Å, b = 4.9373 Å, c = 4.7443 Å
α = 90.00°, β = 90.00°, γ = 90.00°
Element x y z (fractional)
Li: 0.0000 0.0000 0.0000
Cu: 0.5000 0.5000 0.5000
Sb: 0.0000 0.5000 0.5000
Sb: 0.5000 0.0000 0.5000
Ir: 0.5000 0.5000 0.0000

---

> Number 1 is which compound?

Pm5Rh4